Simulated XRD peak list of DyEr4In for Cu Kα, from a DFT-relaxed cell (PBE, Alexandria).

Cell and atoms:
Unit cell a=6.589 b=6.589 c=10.984 alpha=90.00 beta=90.00 gamma=132.14
Atoms (fractional coordinates):
Dy 0.178 0.822 0.500
Dy 0.822 0.178 0.000
Er 0.020 0.980 0.782
Er 0.177 0.823 0.063
Er 0.321 0.679 0.782
Er 0.499 0.501 0.530
Er 0.501 0.499 0.030
Er 0.679 0.321 0.282
Er 0.823 0.177 0.563
Er 0.980 0.020 0.282
In 0.348 0.652 0.279
In 0.652 0.348 0.779

Largest 10 diffraction maxima, sorted by position, 15 to 90 degrees two-theta:
2θ (°)  Rel. int.
30.51  8
32.30  100
32.61  22
33.53  25
45.18  10
47.47  15
57.41  9
58.01  14
59.17  18
67.60  8


Simulated XRD peak list of Dy2Tm2Te5 for Cu Kα, from a DFT-relaxed cell (PBE, Alexandria).

Cell and atoms:
Unit cell a=9.682 b=9.682 c=6.089 alpha=90.00 beta=90.00 gamma=143.75
Atoms (fractional coordinates):
Dy 0.157 0.843 0.000
Dy 0.843 0.157 0.000
Tm 0.315 0.685 0.500
Tm 0.685 0.315 0.500
Te 0.000 0.000 0.000
Te 0.152 0.848 0.500
Te 0.332 0.668 0.000
Te 0.668 0.332 0.000
Te 0.848 0.152 0.500

Largest 10 diffraction maxima, sorted by position, 15 to 90 degrees two-theta:
2θ (°)  Rel. int.
19.29  31
29.11  81
29.34  100
29.66  97
37.32  23
41.81  61
42.04  63
42.20  75
48.16  23
52.09  64


Simulated XRD peak list of Ac2Mg7 for Cu Kα, from a DFT-relaxed cell (PBE, Alexandria).

Cell and atoms:
Unit cell a=15.531 b=15.531 c=15.531 alpha=23.24 beta=23.24 gamma=23.24
Atoms (fractional coordinates):
Ac 0.053 0.053 0.053
Ac 0.152 0.152 0.152
Ac 0.848 0.848 0.848
Ac 0.947 0.947 0.947
Mg 0.000 0.500 0.500
Mg 0.108 0.610 0.610
Mg 0.279 0.279 0.279
Mg 0.388 0.388 0.388
Mg 0.390 0.390 0.892
Mg 0.390 0.892 0.390
Mg 0.500 0.000 0.500
Mg 0.500 0.500 0.000
Mg 0.500 0.500 0.500
Mg 0.610 0.108 0.610
Mg 0.610 0.610 0.108
Mg 0.612 0.612 0.612
Mg 0.721 0.721 0.721
Mg 0.892 0.390 0.390

Largest 10 diffraction maxima, sorted by position, 15 to 90 degrees two-theta:
2θ (°)  Rel. int.
16.48  88
17.61  35
25.63  87
27.19  40
28.53  77
33.12  38
33.73  100
43.28  19
48.80  32
53.93  27


Simulated XRD peak list of Nd2Sm4Y2Mg for Cu Kα, from a DFT-relaxed cell (PBE, Alexandria).

Cell and atoms:
Unit cell a=6.530 b=6.560 c=7.583 alpha=74.87 beta=74.35 gamma=86.51
Atoms (fractional coordinates):
Nd 0.136 0.182 0.281
Nd 0.864 0.818 0.719
Sm 0.168 0.204 0.803
Sm 0.319 0.667 0.901
Sm 0.681 0.333 0.099
Sm 0.832 0.796 0.197
Y 0.292 0.630 0.393
Y 0.708 0.370 0.607
Mg 0.500 0.000 0.500

Largest 10 diffraction maxima, sorted by position, 15 to 90 degrees two-theta:
2θ (°)  Rel. int.
25.52  17
25.89  20
28.18  21
28.39  17
31.65  43
31.77  41
31.92  18
32.16  100
32.84  40
33.18  35